(1)
CeInBr4: theoretical PXRD pattern (Cu Ka), based on a cell relaxed with GGA-PBE.
Neutral-atom scattering factors, no anomalous dispersion.

Top 10 peaks for 5° ≤ 2θ ≤ 70°, in order of rising 2θ:
12.3 deg, I = 56; 18.7 deg, I = 100; 20.9 deg, I = 90; 28.7 deg, I = 52; 30.3 deg, I = 92; 31.6 deg, I = 47; 31.9 deg, I = 41; 33.4 deg, I = 60; 35.5 deg, I = 37; 35.8 deg, I = 39

Atomic structure:
```
data_CeInBr4
_cell_length_a 10.0984
_cell_length_b 15.8926
_cell_length_c 7.3711
_cell_angle_alpha 90.00
_cell_angle_beta 126.93
_cell_angle_gamma 90.00
_space_group_name_H-M_alt 'C 1 2/c 1'
_space_group_IT_number 15
loop_
_space_group_symop_operation_xyz
'x,y,z'
'-x,-y,-z'
'-x,y,-z+1/2'
'x,-y,z+1/2'
'x+1/2,y+1/2,z'
'-x+1/2,-y+1/2,-z'
'-x+1/2,y+1/2,-z+1/2'
'x+1/2,-y+1/2,z+1/2'
loop_
_atom_site_label
_atom_site_fract_x
_atom_site_fract_y
_atom_site_fract_z
Ce1 0.0000 0.0842 0.2500
In1 0.0000 0.3446 0.7500
Br1 0.1568 0.2126 0.1674
Br2 0.2228 0.0361 0.7332
```

(2)
Cu3BiF8: theoretical PXRD pattern (Cu Ka), based on a cell relaxed with GGA-PBE.
Neutral-atom scattering factors, no anomalous dispersion.

Top 10 peaks for 5° ≤ 2θ ≤ 70°, in order of rising 2θ:
21.3 deg, I = 54; 24.7 deg, I = 68; 25.1 deg, I = 46; 33.2 deg, I = 33; 37.3 deg, I = 57; 44.0 deg, I = 17; 45.2 deg, I = 16; 45.5 deg, I = 100; 65.4 deg, I = 28; 67.2 deg, I = 18

Atomic structure:
```
data_Cu3BiF8
_cell_length_a 4.8260
_cell_length_b 4.8260
_cell_length_c 7.0838
_cell_angle_alpha 90.00
_cell_angle_beta 90.00
_cell_angle_gamma 120.00
_space_group_name_H-M_alt 'P -3 1 m'
_space_group_IT_number 162
_space_group_name_Hall '-P 3 2'
loop_
_atom_site_label
_atom_site_fract_x
_atom_site_fract_y
_atom_site_fract_z
Cu1 0.0000 0.0000 0.0000
Cu2 0.3333 0.6667 0.0000
Bi1 0.0000 0.0000 0.5000
F1 0.0000 0.3186 0.1855
F2 0.3333 0.6667 0.5000
```

(3)
Tl3Hg6Au: theoretical PXRD pattern (Cu Ka), based on a cell relaxed with GGA-PBE.
Neutral-atom scattering factors, no anomalous dispersion.

Top 10 peaks for 5° ≤ 2θ ≤ 70°, in order of rising 2θ:
28.3 deg, I = 100; 30.6 deg, I = 24; 33.4 deg, I = 15; 36.5 deg, I = 63; 40.0 deg, I = 13; 44.1 deg, I = 52; 44.4 deg, I = 10; 53.2 deg, I = 18; 58.6 deg, I = 16; 64.3 deg, I = 19

Atomic structure:
```
data_Tl3Hg6Au
_cell_length_a 4.1075
_cell_length_b 4.1075
_cell_length_c 20.4120
_cell_angle_alpha 90.00
_cell_angle_beta 90.00
_cell_angle_gamma 120.00
_space_group_name_H-M_alt 'P -3 m 1'
_space_group_IT_number 164
_space_group_name_Hall '-P 3 2"'
loop_
_atom_site_label
_atom_site_fract_x
_atom_site_fract_y
_atom_site_fract_z
Tl1 0.0000 0.0000 0.0000
Tl2 0.0000 0.0000 0.3145
Hg1 0.3333 0.6667 0.1088
Hg2 0.3333 0.6667 0.4195
Hg3 0.3333 0.6667 0.7947
Au1 0.0000 0.0000 0.5000
```

Copy entry 3 word for word.
Tl3Hg6Au: theoretical PXRD pattern (Cu Ka), based on a cell relaxed with GGA-PBE.
Neutral-atom scattering factors, no anomalous dispersion.

Top 10 peaks for 5° ≤ 2θ ≤ 70°, in order of rising 2θ:
28.3 deg, I = 100; 30.6 deg, I = 24; 33.4 deg, I = 15; 36.5 deg, I = 63; 40.0 deg, I = 13; 44.1 deg, I = 52; 44.4 deg, I = 10; 53.2 deg, I = 18; 58.6 deg, I = 16; 64.3 deg, I = 19

Atomic structure:
```
data_Tl3Hg6Au
_cell_length_a 4.1075
_cell_length_b 4.1075
_cell_length_c 20.4120
_cell_angle_alpha 90.00
_cell_angle_beta 90.00
_cell_angle_gamma 120.00
_space_group_name_H-M_alt 'P -3 m 1'
_space_group_IT_number 164
_space_group_name_Hall '-P 3 2"'
loop_
_atom_site_label
_atom_site_fract_x
_atom_site_fract_y
_atom_site_fract_z
Tl1 0.0000 0.0000 0.0000
Tl2 0.0000 0.0000 0.3145
Hg1 0.3333 0.6667 0.1088
Hg2 0.3333 0.6667 0.4195
Hg3 0.3333 0.6667 0.7947
Au1 0.0000 0.0000 0.5000
```